1.
This entry pairs a crystal structure of MgAu4Se4Cl4O12 with its computed PXRD pattern. Radiation: Cu Kα. Structure: a structure optimized by DFT (PBE).

Structural model:
```
data_MgAu4Se4Cl4O12
_cell_length_a 5.052
_cell_length_b 10.120
_cell_length_c 11.026
_cell_angle_alpha 96.62
_cell_angle_beta 92.04
_cell_angle_gamma 96.47
_symmetry_space_group_name_H-M 'P 1'
_symmetry_Int_Tables_number 1
loop_
_symmetry_equiv_pos_as_xyz
'x,y,z'
loop_
_atom_site_label
_atom_site_fract_x
_atom_site_fract_y
_atom_site_fract_z
_atom_site_occupancy
Mg1 0.000 0.000 0.000 1
Au1 0.106 0.971 0.704 1
Au2 0.150 0.409 0.427 1
Au3 0.162 0.565 0.056 1
Au4 0.234 0.985 0.232 1
Se1 0.034 0.700 0.326 1
Se2 0.363 0.299 0.152 1
Se3 0.438 0.801 0.900 1
Se4 0.808 0.136 0.497 1
Cl1 0.343 0.811 0.610 1
Cl2 0.452 0.489 0.913 1
Cl3 0.856 0.491 0.560 1
Cl4 0.878 0.128 0.820 1
O1 0.091 0.384 0.117 1
O2 0.128 0.234 0.499 1
O3 0.158 0.142 0.133 1
O4 0.177 0.746 0.991 1
O5 0.252 0.585 0.359 1
O6 0.260 0.942 0.874 1
O7 0.302 0.812 0.297 1
O8 0.421 0.333 0.307 1
O9 0.663 0.886 0.005 1
O10 0.738 0.077 0.351 1
O11 0.898 0.632 0.179 1
O12 0.956 0.991 0.538 1
```

Largest 10 diffraction maxima, by angle, 2θ from 15° to 90°:
5.060 Å, rel. 26; 5.009 Å, rel. 100; 4.571 Å, rel. 27; 4.475 Å, rel. 22; 3.587 Å, rel. 30; 3.546 Å, rel. 37; 3.346 Å, rel. 25; 3.299 Å, rel. 43; 3.008 Å, rel. 30; 2.353 Å, rel. 16



2.
This entry pairs a crystal structure of MgAu4Se4Cl4O12 with its computed PXRD pattern. Radiation: Cu Kα. Structure: a structure optimized by DFT (PBE).

Structural model:
```
data_MgAu4Se4Cl4O12
_cell_length_a 4.808
_cell_length_b 10.053
_cell_length_c 11.401
_cell_angle_alpha 95.74
_cell_angle_beta 93.33
_cell_angle_gamma 93.91
_symmetry_space_group_name_H-M 'P 1'
_symmetry_Int_Tables_number 1
loop_
_symmetry_equiv_pos_as_xyz
'x,y,z'
loop_
_atom_site_label
_atom_site_fract_x
_atom_site_fract_y
_atom_site_fract_z
_atom_site_occupancy
Mg1 0.000 0.000 0.000 1
Au1 0.780 0.718 0.898 1
Au2 0.813 0.853 0.508 1
Au3 0.817 0.278 0.692 1
Au4 0.847 0.232 0.197 1
Se1 0.055 0.373 0.967 1
Se2 0.180 0.042 0.730 1
Se3 0.547 0.131 0.430 1
Se4 0.596 0.574 0.622 1
Cl1 0.038 0.785 0.073 1
Cl2 0.134 0.423 0.245 1
Cl3 0.449 0.784 0.373 1
Cl4 0.572 0.031 0.138 1
O1 0.000 0.202 0.033 1
O2 0.129 0.313 0.821 1
O3 0.164 0.910 0.619 1
O4 0.187 0.965 0.856 1
O5 0.502 0.230 0.562 1
O6 0.524 0.667 0.748 1
O7 0.713 0.262 0.363 1
O8 0.733 0.415 0.958 1
O9 0.820 0.083 0.724 1
O10 0.843 0.045 0.457 1
O11 0.857 0.668 0.554 1
O12 0.863 0.475 0.670 1
```

Largest 10 diffraction maxima, by angle, 2θ from 15° to 90°:
5.159 Å, rel. 69; 4.988 Å, rel. 44; 4.786 Å, rel. 100; 4.716 Å, rel. 42; 3.590 Å, rel. 65; 3.546 Å, rel. 70; 3.413 Å, rel. 34; 3.284 Å, rel. 34; 3.007 Å, rel. 34; 2.509 Å, rel. 50



3.
This entry pairs a crystal structure of MgAu4Se4Cl4O12 with its computed PXRD pattern. Radiation: Cu Kα. Structure: a structure optimized by DFT (PBE).

Structural model:
```
data_MgAu4Se4Cl4O12
_cell_length_a 4.489
_cell_length_b 10.040
_cell_length_c 11.317
_cell_angle_alpha 97.26
_cell_angle_beta 96.28
_cell_angle_gamma 95.59
_symmetry_space_group_name_H-M 'P 1'
_symmetry_Int_Tables_number 1
loop_
_symmetry_equiv_pos_as_xyz
'x,y,z'
loop_
_atom_site_label
_atom_site_fract_x
_atom_site_fract_y
_atom_site_fract_z
_atom_site_occupancy
Mg1 0.000 0.000 0.000 1
Au1 0.914 0.187 0.368 1
Au2 0.969 0.040 0.744 1
Au3 0.982 0.601 0.043 1
Au4 0.992 0.614 0.540 1
Se1 0.187 0.907 0.455 1
Se2 0.212 0.467 0.287 1
Se3 0.699 0.726 0.804 1
Se4 0.796 0.323 0.640 1
Cl1 0.201 0.108 0.219 1
Cl2 0.216 0.409 0.004 1
Cl3 0.521 0.092 0.983 1
Cl4 0.754 0.799 0.089 1
O1 0.036 0.594 0.221 1
O2 0.062 0.220 0.680 1
O3 0.080 0.451 0.624 1
O4 0.301 0.556 0.430 1
O5 0.319 0.936 0.601 1
O6 0.645 0.258 0.492 1
O7 0.686 0.674 0.654 1
O8 0.880 0.365 0.297 1
O9 0.883 0.012 0.438 1
O10 0.903 0.766 0.446 1
O11 0.930 0.611 0.862 1
O12 0.963 0.874 0.840 1
```

Largest 10 diffraction maxima, by angle, 2θ from 15° to 90°:
5.170 Å, rel. 33; 4.948 Å, rel. 39; 4.590 Å, rel. 35; 4.434 Å, rel. 100; 3.465 Å, rel. 45; 3.277 Å, rel. 40; 3.131 Å, rel. 43; 3.029 Å, rel. 41; 2.967 Å, rel. 36; 2.587 Å, rel. 36



4.
This entry pairs a crystal structure of MgAu4Se4Cl4O12 with its computed PXRD pattern. Radiation: Cu Kα. Structure: a structure optimized by DFT (PBE).

Structural model:
```
data_MgAu4Se4Cl4O12
_cell_length_a 5.275
_cell_length_b 10.107
_cell_length_c 11.419
_cell_angle_alpha 81.01
_cell_angle_beta 81.98
_cell_angle_gamma 81.55
_symmetry_space_group_name_H-M 'P 1'
_symmetry_Int_Tables_number 1
loop_
_symmetry_equiv_pos_as_xyz
'x,y,z'
loop_
_atom_site_label
_atom_site_fract_x
_atom_site_fract_y
_atom_site_fract_z
_atom_site_occupancy
Mg1 0.000 0.000 0.000 1
Au1 0.431 0.492 0.071 1
Au2 0.488 0.069 0.225 1
Au3 0.488 0.445 0.568 1
Au4 0.657 0.849 0.800 1
Se1 0.248 0.359 0.342 1
Se2 0.338 0.769 0.191 1
Se3 0.495 0.218 0.949 1
Se4 0.695 0.560 0.784 1
Cl1 0.239 0.270 0.619 1
Cl2 0.241 0.996 0.396 1
Cl3 0.745 0.617 0.514 1
Cl4 0.903 0.018 0.796 1
O1 0.114 0.836 0.099 1
O2 0.169 0.480 0.220 1
O3 0.282 0.110 0.952 1
O4 0.293 0.329 0.035 1
O5 0.450 0.692 0.797 1
O6 0.452 0.455 0.392 1
O7 0.505 0.251 0.279 1
O8 0.517 0.440 0.744 1
O9 0.557 0.662 0.105 1
O10 0.561 0.890 0.163 1
O11 0.699 0.132 0.063 1
O12 0.714 0.481 0.932 1
```

Largest 10 diffraction maxima, by angle, 2θ from 15° to 90°:
5.183 Å, rel. 100; 4.938 Å, rel. 49; 4.608 Å, rel. 30; 4.044 Å, rel. 25; 3.377 Å, rel. 25; 3.343 Å, rel. 18; 3.295 Å, rel. 23; 3.242 Å, rel. 18; 2.854 Å, rel. 19; 2.597 Å, rel. 19



5.
This entry pairs a crystal structure of MgAu4Se4Cl4O12 with its computed PXRD pattern. Radiation: Cu Kα. Structure: a structure optimized by DFT (PBE).

Structural model:
```
data_MgAu4Se4Cl4O12
_cell_length_a 4.914
_cell_length_b 10.242
_cell_length_c 11.224
_cell_angle_alpha 101.47
_cell_angle_beta 93.63
_cell_angle_gamma 90.37
_symmetry_space_group_name_H-M 'P 1'
_symmetry_Int_Tables_number 1
loop_
_symmetry_equiv_pos_as_xyz
'x,y,z'
loop_
_atom_site_label
_atom_site_fract_x
_atom_site_fract_y
_atom_site_fract_z
_atom_site_occupancy
Mg1 0.000 0.000 0.000 1
Au1 0.455 0.828 0.984 1
Au2 0.506 0.289 0.660 1
Au3 0.524 0.672 0.337 1
Au4 0.537 0.237 0.167 1
Se1 0.357 0.505 0.063 1
Se2 0.431 0.121 0.865 1
Se3 0.684 0.963 0.263 1
Se4 0.778 0.407 0.440 1
Cl1 0.085 0.802 0.844 1
Cl2 0.246 0.096 0.591 1
Cl3 0.766 0.482 0.720 1
Cl4 0.845 0.778 0.482 1
O1 0.241 0.577 0.207 1
O2 0.284 0.157 0.014 1
O3 0.427 0.073 0.238 1
O4 0.430 0.283 0.836 1
O5 0.450 0.837 0.264 1
O6 0.503 0.505 0.408 1
O7 0.572 0.288 0.485 1
O8 0.583 0.613 0.029 1
O9 0.626 0.399 0.101 1
O10 0.762 0.102 0.904 1
O11 0.788 0.915 0.112 1
O12 0.836 0.306 0.299 1
```

Largest 10 diffraction maxima, by angle, 2θ from 15° to 90°:
5.279 Å, rel. 36; 4.903 Å, rel. 100; 4.591 Å, rel. 29; 4.453 Å, rel. 29; 4.075 Å, rel. 23; 3.397 Å, rel. 30; 3.236 Å, rel. 24; 3.149 Å, rel. 33; 2.789 Å, rel. 48; 2.625 Å, rel. 23



6.
This entry pairs a crystal structure of MgAu4Se4Cl4O12 with its computed PXRD pattern. Radiation: Cu Kα. Structure: a structure optimized by DFT (PBE).

Structural model:
```
data_MgAu4Se4Cl4O12
_cell_length_a 4.753
_cell_length_b 9.991
_cell_length_c 11.110
_cell_angle_alpha 95.82
_cell_angle_beta 97.64
_cell_angle_gamma 92.75
_symmetry_space_group_name_H-M 'P 1'
_symmetry_Int_Tables_number 1
loop_
_symmetry_equiv_pos_as_xyz
'x,y,z'
loop_
_atom_site_label
_atom_site_fract_x
_atom_site_fract_y
_atom_site_fract_z
_atom_site_occupancy
Mg1 0.000 0.000 0.000 1
Au1 0.070 0.140 0.230 1
Au2 0.094 0.558 0.437 1
Au3 0.130 0.570 0.941 1
Au4 0.139 0.980 0.624 1
Se1 0.274 0.850 0.343 1
Se2 0.363 0.428 0.188 1
Se3 0.861 0.691 0.686 1
Se4 0.896 0.273 0.538 1
Cl1 0.392 0.386 0.907 1
Cl2 0.503 0.043 0.012 1
Cl3 0.852 0.755 0.979 1
Cl4 0.868 0.048 0.779 1
O1 0.005 0.729 0.358 1
O2 0.023 0.947 0.272 1
O3 0.031 0.562 0.756 1
O4 0.048 0.329 0.173 1
O5 0.172 0.791 0.681 1
O6 0.180 0.393 0.520 1
O7 0.184 0.165 0.574 1
O8 0.228 0.571 0.123 1
O9 0.387 0.923 0.494 1
O10 0.410 0.510 0.336 1
O11 0.748 0.217 0.397 1
O12 0.783 0.606 0.541 1
```

Largest 10 diffraction maxima, by angle, 2θ from 15° to 90°:
5.029 Å, rel. 35; 4.960 Å, rel. 32; 4.702 Å, rel. 100; 4.585 Å, rel. 31; 4.117 Å, rel. 24; 3.550 Å, rel. 24; 3.310 Å, rel. 71; 3.281 Å, rel. 33; 3.265 Å, rel. 25; 2.977 Å, rel. 29



7.
This entry pairs a crystal structure of MgAu4Se4Cl4O12 with its computed PXRD pattern. Radiation: Cu Kα. Structure: a structure optimized by DFT (PBE).

Structural model:
```
data_MgAu4Se4Cl4O12
_cell_length_a 4.852
_cell_length_b 10.084
_cell_length_c 11.145
_cell_angle_alpha 84.44
_cell_angle_beta 89.96
_cell_angle_gamma 87.05
_symmetry_space_group_name_H-M 'P 1'
_symmetry_Int_Tables_number 1
loop_
_symmetry_equiv_pos_as_xyz
'x,y,z'
loop_
_atom_site_label
_atom_site_fract_x
_atom_site_fract_y
_atom_site_fract_z
_atom_site_occupancy
Mg1 0.000 0.000 0.000 1
Au1 0.699 0.143 0.840 1
Au2 0.779 0.546 0.680 1
Au3 0.790 0.708 0.043 1
Au4 0.865 0.123 0.387 1
Se1 0.153 0.286 0.600 1
Se2 0.516 0.963 0.198 1
Se3 0.587 0.428 0.948 1
Se4 0.882 0.856 0.754 1
Cl1 0.087 0.306 0.306 1
Cl2 0.098 0.630 0.546 1
Cl3 0.533 0.606 0.193 1
Cl4 0.646 0.934 0.467 1
O1 0.007 0.826 0.911 1
O2 0.008 0.139 0.553 1
O3 0.236 0.215 0.737 1
O4 0.351 0.030 0.071 1
O5 0.482 0.479 0.801 1
O6 0.608 0.968 0.771 1
O7 0.672 0.725 0.745 1
O8 0.717 0.098 0.217 1
O9 0.806 0.880 0.127 1
O10 0.814 0.365 0.621 1
O11 0.821 0.295 0.935 1
O12 0.859 0.537 0.966 1
```

Largest 10 diffraction maxima, by angle, 2θ from 15° to 90°:
5.066 Å, rel. 45; 5.012 Å, rel. 23; 4.846 Å, rel. 100; 4.665 Å, rel. 38; 4.436 Å, rel. 35; 3.543 Å, rel. 41; 3.466 Å, rel. 27; 3.403 Å, rel. 58; 3.365 Å, rel. 29; 2.993 Å, rel. 42



8.
This entry pairs a crystal structure of MgAu4Se4Cl4O12 with its computed PXRD pattern. Radiation: Cu Kα. Structure: a structure optimized by DFT (PBE).

Structural model:
```
data_MgAu4Se4Cl4O12
_cell_length_a 4.761
_cell_length_b 10.684
_cell_length_c 11.134
_cell_angle_alpha 90.87
_cell_angle_beta 94.41
_cell_angle_gamma 91.05
_symmetry_space_group_name_H-M 'P 1'
_symmetry_Int_Tables_number 1
loop_
_symmetry_equiv_pos_as_xyz
'x,y,z'
loop_
_atom_site_label
_atom_site_fract_x
_atom_site_fract_y
_atom_site_fract_z
_atom_site_occupancy
Mg1 0.000 0.000 0.000 1
Au1 0.448 0.801 0.132 1
Au2 0.467 0.486 0.848 1
Au3 0.542 0.886 0.545 1
Au4 0.640 0.243 0.177 1
Se1 0.303 0.027 0.299 1
Se2 0.446 0.530 0.131 1
Se3 0.528 0.171 0.871 1
Se4 0.815 0.757 0.800 1
Cl1 0.333 0.078 0.570 1
Cl2 0.524 0.337 0.351 1
Cl3 0.704 0.421 0.687 1
Cl4 0.765 0.700 0.514 1
O1 0.192 0.954 0.159 1
O2 0.247 0.532 0.993 1
O3 0.264 0.070 0.891 1
O4 0.346 0.308 0.891 1
O5 0.404 0.887 0.365 1
O6 0.495 0.672 0.814 1
O7 0.642 0.075 0.261 1
O8 0.668 0.887 0.721 1
O9 0.692 0.410 0.101 1
O10 0.696 0.647 0.119 1
O11 0.742 0.153 0.016 1
O12 0.854 0.841 0.931 1
```

Largest 10 diffraction maxima, by angle, 2θ from 15° to 90°:
4.746 Å, rel. 100; 4.122 Å, rel. 40; 3.700 Å, rel. 35; 3.514 Å, rel. 28; 3.413 Å, rel. 30; 3.330 Å, rel. 24; 3.283 Å, rel. 20; 2.876 Å, rel. 18; 2.816 Å, rel. 23; 2.308 Å, rel. 25



9.
This entry pairs a crystal structure of AuNCl4 with its computed PXRD pattern. Radiation: Cu Kα. Structure: a structure optimized by DFT (PBE).

Structural model:
```
data_AuNCl4
_cell_length_a 12.625
_cell_length_b 5.923
_cell_length_c 9.932
_cell_angle_alpha 90.00
_cell_angle_beta 102.16
_cell_angle_gamma 90.00
_symmetry_space_group_name_H-M 'C 1 2/c 1'
_symmetry_Int_Tables_number 15
loop_
_symmetry_equiv_pos_as_xyz
'x,y,z'
'-x,-y,-z'
'-x,y,-z+1/2'
'x,-y,z+1/2'
'x+1/2,y+1/2,z'
'-x+1/2,-y+1/2,-z'
'-x+1/2,y+1/2,-z+1/2'
'x+1/2,-y+1/2,z+1/2'
loop_
_atom_site_label
_atom_site_fract_x
_atom_site_fract_y
_atom_site_fract_z
_atom_site_occupancy
Au1 0.250 0.250 0.000 1
N1 0.000 0.230 0.250 1
Cl1 0.065 0.271 0.930 1
Cl2 0.231 0.043 0.645 1
```

Largest 10 diffraction maxima, by angle, 2θ from 15° to 90°:
4.865 Å, rel. 100; 4.509 Å, rel. 43; 4.279 Å, rel. 17; 3.085 Å, rel. 17; 2.887 Å, rel. 35; 2.528 Å, rel. 16; 2.436 Å, rel. 19; 2.059 Å, rel. 13; 1.883 Å, rel. 14; 1.689 Å, rel. 11



10.
This entry pairs a crystal structure of AuNCl3 with its computed PXRD pattern. Radiation: Cu Kα. Structure: a structure optimized by DFT (PBE).

Structural model:
```
data_AuNCl3
_cell_length_a 6.154
_cell_length_b 11.144
_cell_length_c 9.885
_cell_angle_alpha 90.00
_cell_angle_beta 126.71
_cell_angle_gamma 90.00
_symmetry_space_group_name_H-M 'P 1 21/c 1'
_symmetry_Int_Tables_number 14
loop_
_symmetry_equiv_pos_as_xyz
'x,y,z'
'-x,-y,-z'
'-x,y+1/2,-z+1/2'
'x,-y+1/2,z+1/2'
loop_
_atom_site_label
_atom_site_fract_x
_atom_site_fract_y
_atom_site_fract_z
_atom_site_occupancy
Au1 0.150 0.124 0.161 1
N1 0.471 0.588 0.222 1
Cl1 0.119 0.544 0.787 1
Cl2 0.196 0.209 0.543 1
Cl3 0.318 0.658 0.490 1
```

Largest 10 diffraction maxima, by angle, 2θ from 15° to 90°:
5.385 Å, rel. 100; 4.933 Å, rel. 32; 4.558 Å, rel. 84; 4.511 Å, rel. 39; 4.399 Å, rel. 48; 3.733 Å, rel. 47; 2.935 Å, rel. 23; 2.830 Å, rel. 58; 2.570 Å, rel. 28; 2.408 Å, rel. 24